Computed X-ray diffraction stick pattern of VCl3O for Cu Kα, from a structure optimized by DFT (PBE+U).

Structure:
```
VCl3O
1.0
5.289 0.000 0.000
0.000 10.106 0.000
0.000 0.000 12.115
V Cl O
4 12 4
Cartesian
0.732 2.527 0.543 V
1.913 7.580 6.600 V
3.376 2.527 5.515 V
4.557 7.580 11.572 V
1.221 5.797 7.609 Cl
1.221 9.362 7.609 Cl
1.305 7.580 4.527 Cl
1.339 2.527 10.585 Cl
1.424 0.744 1.551 Cl
1.424 4.309 1.551 Cl
3.865 5.797 10.564 Cl
3.865 9.362 10.564 Cl
3.949 7.580 1.530 Cl
3.984 2.527 7.588 Cl
4.068 0.744 4.506 Cl
4.068 4.309 4.506 Cl
0.870 7.580 11.524 O
1.775 2.527 5.466 O
3.514 7.580 6.649 O
4.419 2.527 0.591 O
```

Largest 10 diffraction maxima, sorted by position, 5° ≤ 2θ ≤ 70°:
d/Å	I_rel
6.058	31.1
5.053	25.7
4.370	100.0
3.984	18.1
3.880	24.4
3.498	20.3
3.246	15.4
3.129	37.5
2.644	18.6
1.967	22.0